# 1
Starting from the GGA-PBE geometry in Alexandria, the powder diffraction line list of Sr5Cd2Rh was calculated for copper Kα.

Atomic structure:
a b c (Å): 9.2537 13.7657 4.6950
angles (deg): 90.00 90.00 90.00
Space group Pbam (No. 55)
Symmetry-distinct sites (fractional):
Sr: 0.0000 0.0000 0.0000
Sr: 0.1517 0.3113 0.0000
Sr: 0.1704 0.5761 0.5000
Cd: 0.0551 0.8263 0.5000
Rh: 0.0000 0.5000 0.0000

Peak list (10 most intense, 2θ from 10° to 90°, by intensity)
(2 2 1), 2θ 30.06, 2.972 Å, I = 1000; (2 1 1), 2θ 27.84, 3.205 Å, I = 988; (1 3 1), 2θ 28.87, 3.093 Å, I = 656; (1 4 0), 2θ 27.66, 3.226 Å, I = 531; (0 0 2), 2θ 38.34, 2.347 Å, I = 505; (1 5 1), 2θ 39.17, 2.300 Å, I = 405; (0 4 1), 2θ 32.25, 2.776 Å, I = 305; (1 2 1), 2θ 24.89, 3.577 Å, I = 279; (4 2 1), 2θ 45.66, 1.987 Å, I = 261; (2 0 0), 2θ 19.18, 4.627 Å, I = 235

***

# 2
Starting from the GGA-PBE geometry in Alexandria, the powder diffraction line list of Er7Te2Ru2 was calculated for copper Kα.

Atomic structure:
a b c (Å): 3.9258 15.7140 9.2843
angles (deg): 90.00 90.00 90.00
Space group Imm2 (No. 44)
Symmetry-distinct sites (fractional):
Er: 0.0000 0.0000 0.0000
Er: 0.0000 0.1334 0.4186
Er: 0.0000 0.3160 0.6265
Er: 0.0000 0.3499 0.2620
Te: 0.0000 0.0000 0.6650
Te: 0.0000 0.5000 0.7665
Ru: 0.0000 0.2384 0.9321

Peak list (10 most intense, 2θ from 10° to 90°, by intensity)
(0 3 3), 2θ 33.67, 2.662 Å, I = 1000; (1 3 2), 2θ 34.47, 2.602 Å, I = 324; (1 1 2), 2θ 30.36, 2.945 Å, I = 294; (2 0 0), 2θ 46.25, 1.963 Å, I = 214; (2 3 3), 2θ 58.39, 1.580 Å, I = 162; (1 2 3), 2θ 38.79, 2.322 Å, I = 155; (1 0 3), 2θ 36.99, 2.430 Å, I = 124; (1 3 0), 2θ 28.41, 3.141 Å, I = 122; (0 5 1), 2θ 30.02, 2.977 Å, I = 122; (0 6 0), 2θ 34.24, 2.619 Å, I = 121

***

# 3
Starting from the GGA-PBE geometry in Alexandria, the powder diffraction line list of ZnAg4F6 was calculated for copper Kα.

Atomic structure:
a b c (Å): 6.6977 6.6977 7.2970
angles (deg): 90.00 90.00 90.00
Space group P4/mnc (No. 128)
Symmetry-distinct sites (fractional):
Zn: 0.0000 0.0000 0.0000
Ag: 0.1527 0.3473 0.2500
F: 0.0000 0.0000 0.2771
F: 0.0989 0.7040 0.0000

Peak list (10 most intense, 2θ from 10° to 90°, by intensity)
(2 1 2), 2θ 38.90, 2.315 Å, I = 1000; (2 1 0), 2θ 29.83, 2.995 Å, I = 588; (3 1 0), 2θ 42.69, 2.118 Å, I = 365; (0 0 2), 2θ 24.40, 3.648 Å, I = 312; (1 0 1), 2θ 17.98, 4.934 Å, I = 173; (2 1 4), 2θ 59.31, 1.558 Å, I = 163; (1 1 2), 2θ 30.94, 2.890 Å, I = 161; (3 1 4), 2θ 67.80, 1.382 Å, I = 157; (0 0 4), 2θ 50.00, 1.824 Å, I = 146; (3 3 2), 2θ 64.29, 1.449 Å, I = 135